(1)
Calculated PXRD pattern
Compound: YCuSi2Ir
Radiation: Cu Kα (λ = 1.5418 Å)
Structure: a structure optimized by DFT (PBE)
Neutral-atom scattering factors, no anomalous dispersion.

Structural model:
```
data_YCuSi2Ir
_space_group_name_H-M_alt 'I -4 m 2'
_space_group_IT_number 119
_space_group_name_Hall 'I -4 -2'
_cell_length_a 4.0376
_cell_length_b 4.0376
_cell_length_c 9.9944
_cell_angle_alpha 90.00
_cell_angle_beta 90.00
_cell_angle_gamma 90.00
loop_
_atom_site_label
_atom_site_type_symbol
_atom_site_fract_x
_atom_site_fract_y
_atom_site_fract_z
Y1 Y 0.0000 0.0000 0.0000
Cu1 Cu 0.0000 0.5000 0.2500
Si1 Si 0.0000 0.0000 0.3813
Ir1 Ir 0.0000 0.5000 0.7500
```

The 10 most intense peaks (2θ = 5–70°), by angle:
| two_theta | I_rel | (hkl) |
| --- | --- | --- |
| 17.75 | 30 | 0 0 2 |
| 23.77 | 38 | 1 0 1 |
| 34.92 | 27 | 1 0 3 |
| 35.94 | 18 | 0 0 4 |
| 36.24 | 100 | 1 1 2 |
| 44.90 | 36 | 2 0 0 |
| 48.41 | 18 | 1 1 4 |
| 58.11 | 12 | 2 1 3 |
| 58.80 | 17 | 2 0 4 |
| 64.80 | 16 | 1 1 6 |

(2)
Calculated PXRD pattern
Compound: TlCu3Te4Ir
Radiation: Cu Kα (λ = 1.5418 Å)
Structure: a structure optimized by DFT (PBE)
Neutral-atom scattering factors, no anomalous dispersion.

Structural model:
```
data_TlCu3Te4Ir
_space_group_name_H-M_alt 'P -4 3 m'
_space_group_IT_number 215
_space_group_name_Hall 'P -4 2 3'
_cell_length_a 6.3661
_cell_length_b 6.3661
_cell_length_c 6.3661
_cell_angle_alpha 90.00
_cell_angle_beta 90.00
_cell_angle_gamma 90.00
loop_
_atom_site_label
_atom_site_type_symbol
_atom_site_fract_x
_atom_site_fract_y
_atom_site_fract_z
Tl1 Tl 0.0000 0.0000 0.0000
Cu1 Cu 0.0000 0.5000 0.5000
Te1 Te 0.2681 0.2681 0.2681
Ir1 Ir 0.5000 0.5000 0.5000
```

The 10 most intense peaks (2θ = 5–70°), by angle:
| two_theta | I_rel | (hkl) |
| --- | --- | --- |
| 19.72 | 56 | 1 1 0 |
| 24.22 | 63 | 1 1 1 |
| 34.51 | 29 | 2 1 1 |
| 40.06 | 100 | 2 2 0 |
| 45.03 | 12 | 3 1 0 |
| 47.36 | 28 | 3 1 1 |
| 53.89 | 19 | 3 2 1 |
| 57.94 | 16 | 4 0 0 |
| 61.83 | 11 | 4 1 1 |
| 63.72 | 10 | 3 3 1 |